Simulated X-ray powder pattern of NdIn4Pt4 for Cu Kα X-rays, from a PBE-relaxed structure.

Cell and atoms:
Unit cell a=7.0717 b=7.0717 c=8.1420 alpha=90.00 beta=90.00 gamma=90.00
Sites, in units of the cell vectors:
Nd 0.2500 0.7500 0.2500
Nd 0.7500 0.2500 0.7500
In 0.0049 0.7500 0.6263
In 0.2500 0.5049 0.8737
In 0.2500 0.9951 0.8737
In 0.4951 0.7500 0.6263
In 0.5049 0.2500 0.3737
In 0.7500 0.0049 0.1263
In 0.7500 0.4951 0.1263
In 0.9951 0.2500 0.3737
Pt 0.0375 0.2500 0.0384
Pt 0.2500 0.0375 0.5384
Pt 0.2500 0.4625 0.5384
Pt 0.4625 0.2500 0.0384
Pt 0.5375 0.7500 0.9616
Pt 0.7500 0.5375 0.4616
Pt 0.7500 0.9625 0.4616
Pt 0.9625 0.7500 0.9616

Principal peaks in the range 10 to 90 degrees two-theta, low angle first:
2θ (°)  I_rel  index
21.83  36  0 0 2
27.50  42  2 0 1
30.32  79  2 1 1
35.43  40  1 0 3
35.92  81  2 2 0
41.95  100  2 0 3
42.43  52  2 2 2
51.34  27  3 0 3
51.71  40  4 0 0
68.69  30  4 2 3